Entry 1:
Starting from a crystal structure in Alexandria, relaxed with PBE, the powder diffraction line list of TlPtRhCl6 was simulated for Cu Kα (weighted mean of Kα1 and Kα2).

Crystal structure
Cell: 6.4613 6.4613 7.0403 Å, 90.00 90.00 120.00°
Fractional coordinates of all 9 atoms:
Tl: 0.0000 0.0000 0.0000
Pt: 0.3333 0.6667 0.5000
Rh: 0.6667 0.3333 0.5000
Cl: 0.3743 0.0200 0.6896
Cl: 0.3743 0.3543 0.3104
Cl: 0.6457 0.0200 0.3104
Cl: 0.6457 0.6257 0.6896
Cl: 0.9800 0.3543 0.6896
Cl: 0.9800 0.6257 0.3104

Most intense lines, 10 to 90 degrees two-theta, by angle:
- 2θ = 12.6°, I = 14
- 2θ = 20.3°, I = 100
- 2θ = 27.6°, I = 27
- 2θ = 34.5°, I = 23
- 2θ = 37.8°, I = 53
- 2θ = 41.7°, I = 14
- 2θ = 44.7°, I = 26
- 2θ = 48.8°, I = 17
- 2θ = 58.8°, I = 11
- 2θ = 59.8°, I = 11
- 2θ = 61.2°, I = 11
- 2θ = 63.4°, I = 11

Entry 2:
Starting from a crystal structure in Alexandria, relaxed with PBE, the powder diffraction line list of K2Na2Ag15 was simulated for Cu Kα (weighted mean of Kα1 and Kα2).

Crystal structure
Cell: 7.4571 7.4571 7.4571 Å, 83.93 83.93 83.93°
Fractional coordinates of all 19 atoms:
K: 0.1517 0.1517 0.1517
K: 0.8483 0.8483 0.8483
Na: 0.3991 0.3991 0.3991
Na: 0.6009 0.6009 0.6009
Ag: 0.0000 0.5000 0.5000
Ag: 0.1567 0.1567 0.6577
Ag: 0.1567 0.6577 0.1567
Ag: 0.1932 0.5000 0.8068
Ag: 0.1932 0.8068 0.5000
Ag: 0.3423 0.8433 0.8433
Ag: 0.5000 0.0000 0.5000
Ag: 0.5000 0.1932 0.8068
Ag: 0.5000 0.5000 0.0000
Ag: 0.5000 0.8068 0.1932
Ag: 0.6577 0.1567 0.1567
Ag: 0.8068 0.1932 0.5000
Ag: 0.8068 0.5000 0.1932
Ag: 0.8433 0.3423 0.8433
Ag: 0.8433 0.8433 0.3423

Most intense lines, 10 to 90 degrees two-theta, by angle:
- 2θ = 17.8°, I = 76
- 2θ = 36.0°, I = 32
- 2θ = 36.5°, I = 92
- 2θ = 38.0°, I = 42
- 2θ = 40.9°, I = 100
- 2θ = 42.2°, I = 23
- 2θ = 53.3°, I = 13
- 2θ = 58.9°, I = 17
- 2θ = 64.8°, I = 20
- 2θ = 67.7°, I = 14
- 2θ = 70.6°, I = 15
- 2θ = 77.6°, I = 21

Entry 3:
Starting from a crystal structure in Alexandria, relaxed with PBE, the powder diffraction line list of KTbHo4S8 was simulated for Cu Kα (weighted mean of Kα1 and Kα2).

Crystal structure
Cell: 8.2110 8.2110 8.2110 Å, 59.75 59.75 59.75°
Fractional coordinates of all 14 atoms:
K: 0.0000 0.0000 0.0000
Tb: 0.3692 0.3692 0.3692
Ho: 0.3693 0.3693 0.8875
Ho: 0.3693 0.8875 0.3693
Ho: 0.7486 0.7486 0.7486
Ho: 0.8875 0.3693 0.3693
S: 0.1389 0.1389 0.5745
S: 0.1389 0.5745 0.1389
S: 0.1409 0.1409 0.1409
S: 0.1453 0.6175 0.6175
S: 0.5745 0.1389 0.1389
S: 0.6164 0.6164 0.6164
S: 0.6175 0.1453 0.6175
S: 0.6175 0.6175 0.1453

Most intense lines, 10 to 90 degrees two-theta, by angle:
- 2θ = 13.2°, I = 46
- 2θ = 15.3°, I = 16
- 2θ = 21.7°, I = 22
- 2θ = 25.5°, I = 100
- 2θ = 25.5°, I = 34
- 2θ = 26.7°, I = 22
- 2θ = 30.9°, I = 47
- 2θ = 40.4°, I = 18
- 2θ = 40.5°, I = 49
- 2θ = 44.1°, I = 42
- 2θ = 44.3°, I = 42
- 2θ = 61.5°, I = 20

Entry 4:
Starting from a crystal structure in Alexandria, relaxed with PBE, the powder diffraction line list of Ce5Ti2S12 was simulated for Cu Kα (weighted mean of Kα1 and Kα2).

Crystal structure
Cell: 8.4738 8.4738 8.7987 Å, 105.44 105.44 48.76°
Fractional coordinates of all 19 atoms:
Ce: 0.0000 0.0000 0.0000
Ce: 0.3032 0.3032 0.1514
Ce: 0.3142 0.3142 0.6580
Ce: 0.6858 0.6858 0.3420
Ce: 0.6968 0.6968 0.8486
Ti: 0.2481 0.7519 0.5000
Ti: 0.7519 0.2481 0.5000
S: 0.0015 0.0015 0.3127
S: 0.0864 0.5821 0.4148
S: 0.0986 0.5988 0.9284
S: 0.4012 0.9014 0.0716
S: 0.4179 0.9136 0.5852
S: 0.4970 0.4970 0.2990
S: 0.5030 0.5030 0.7010
S: 0.5821 0.0864 0.4148
S: 0.5988 0.0986 0.9284
S: 0.9014 0.4012 0.0716
S: 0.9136 0.4179 0.5852
S: 0.9985 0.9985 0.6873

Most intense lines, 10 to 90 degrees two-theta, by angle:
- 2θ = 22.1°, I = 100
- 2θ = 23.9°, I = 98
- 2θ = 25.5°, I = 18
- 2θ = 33.3°, I = 30
- 2θ = 36.5°, I = 32
- 2θ = 37.5°, I = 31
- 2θ = 37.7°, I = 29
- 2θ = 41.0°, I = 29
- 2θ = 42.9°, I = 22
- 2θ = 44.0°, I = 28
- 2θ = 45.1°, I = 18
- 2θ = 68.5°, I = 16

Entry 5:
Starting from a crystal structure in Alexandria, relaxed with PBE, the powder diffraction line list of Zr7Rh3 was simulated for Cu Kα (weighted mean of Kα1 and Kα2).

Crystal structure
Cell: 9.1929 9.1929 5.7419 Å, 90.00 90.00 120.00°
Fractional coordinates of all 20 atoms:
Zr: 0.0766 0.5383 0.0000
Zr: 0.1307 0.2614 0.2866
Zr: 0.1307 0.8693 0.2866
Zr: 0.2614 0.1307 0.7866
Zr: 0.3333 0.6667 0.4603
Zr: 0.4617 0.5383 0.0000
Zr: 0.4617 0.9234 0.0000
Zr: 0.5383 0.0766 0.5000
Zr: 0.5383 0.4617 0.5000
Zr: 0.6667 0.3333 0.9603
Zr: 0.7386 0.8693 0.2866
Zr: 0.8693 0.1307 0.7866
Zr: 0.8693 0.7386 0.7866
Zr: 0.9234 0.4617 0.5000
Rh: 0.1900 0.3801 0.7348
Rh: 0.1900 0.8100 0.7348
Rh: 0.3801 0.1900 0.2348
Rh: 0.6199 0.8100 0.7348
Rh: 0.8100 0.1900 0.2348
Rh: 0.8100 0.6199 0.2348

Most intense lines, 10 to 90 degrees two-theta, by angle:
- 2θ = 33.2°, I = 41
- 2θ = 33.6°, I = 100
- 2θ = 33.8°, I = 25
- 2θ = 37.3°, I = 83
- 2θ = 38.7°, I = 76
- 2θ = 39.2°, I = 70
- 2θ = 43.6°, I = 25
- 2θ = 52.6°, I = 16
- 2θ = 55.2°, I = 22
- 2θ = 59.6°, I = 23
- 2θ = 60.4°, I = 38
- 2θ = 76.6°, I = 22